Entry 1:
Theoretical PXRD pattern
Compound: Sr3InBi
Radiation: λ = 1.5418 Å (Cu Kα)
Structure: a cell relaxed with GGA-PBE
Peak positions follow from Bragg's law for the DFT cell and can differ from measured ones.

Structural model:
```
data_Sr3InBi
_symmetry_space_group_name_H-M 'P 1'
_symmetry_Int_Tables_number 1
_symmetry_space_group_name_Hall 'P 1'
_cell_length_a 9.1725
_cell_length_b 9.1725
_cell_length_c 9.7886
_cell_angle_alpha 94.88
_cell_angle_beta 94.88
_cell_angle_gamma 29.37
loop_
_atom_site_label
_atom_site_type_symbol
_atom_site_fract_x
_atom_site_fract_y
_atom_site_fract_z
Sr1 Sr 0.0492 0.0492 0.1722
Sr2 Sr 0.2395 0.2395 0.8226
Sr3 Sr 0.3961 0.3961 0.4186
Sr4 Sr 0.6039 0.6039 0.5814
Sr5 Sr 0.7605 0.7605 0.1774
Sr6 Sr 0.9508 0.9508 0.8278
In1 In 0.2043 0.2043 0.4215
In2 In 0.7957 0.7957 0.5785
Bi1 Bi 0.3931 0.3931 0.0727
Bi2 Bi 0.6069 0.6069 0.9273
```

Largest 6 diffraction maxima, low angle first, 2θ from 15° to 90°:
two_theta, Rel. int.
25.59, 100
26.66, 42
28.42, 42
31.80, 79
34.40, 62
38.73, 42



Entry 2:
Theoretical PXRD pattern
Compound: Sr3In2Bi3
Radiation: λ = 1.5418 Å (Cu Kα)
Structure: a cell relaxed with GGA-PBE
Peak positions follow from Bragg's law for the DFT cell and can differ from measured ones.

Structural model:
```
data_Sr3In2Bi3
_symmetry_space_group_name_H-M 'P 1'
_symmetry_Int_Tables_number 1
_symmetry_space_group_name_Hall 'P 1'
_cell_length_a 6.8604
_cell_length_b 6.8604
_cell_length_c 16.2232
_cell_angle_alpha 90.00
_cell_angle_beta 90.00
_cell_angle_gamma 133.74
loop_
_atom_site_label
_atom_site_type_symbol
_atom_site_fract_x
_atom_site_fract_y
_atom_site_fract_z
Sr1 Sr 0.0540 0.9460 0.7500
Sr2 Sr 0.1456 0.8544 0.0326
Sr3 Sr 0.1456 0.8544 0.4674
Sr4 Sr 0.8544 0.1456 0.5326
Sr5 Sr 0.8544 0.1456 0.9674
Sr6 Sr 0.9460 0.0540 0.2500
In1 In 0.3128 0.6872 0.6526
In2 In 0.3128 0.6872 0.8474
In3 In 0.6872 0.3128 0.1526
In4 In 0.6872 0.3128 0.3474
Bi1 Bi 0.2247 0.7753 0.2500
Bi2 Bi 0.4468 0.5532 0.0897
Bi3 Bi 0.4468 0.5532 0.4103
Bi4 Bi 0.5532 0.4468 0.5897
Bi5 Bi 0.5532 0.4468 0.9103
Bi6 Bi 0.7753 0.2247 0.7500
```

Largest 6 diffraction maxima, low angle first, 2θ from 15° to 90°:
two_theta, Rel. int.
17.85, 63
28.43, 76
28.83, 57
31.65, 100
33.00, 62
33.24, 62